Entry 1:
Simulated X-ray diffraction stick pattern
Compound: TbTmAl3Ge2
Radiation: Cu Ka
Structure: a PBE-relaxed structure

Principal peaks in the range 10 to 90 degrees two-theta, low angle first:
d [Å]	two_theta	intensity	hkl
6.638	13.34	55.3	0 0 1
3.721	23.91	25.1	2 0 1
3.373	26.43	35.0	1 1 -1
3.319	26.86	21.4	0 0 2
3.192	27.95	56.6	1 1 1
2.575	34.85	100.0	1 1 -2
2.530	35.48	56.0	3 1 -1
2.523	35.58	33.8	4 0 0
2.313	38.94	49.0	3 1 1
2.213	40.78	27.2	0 0 3
2.033	44.58	34.9	0 2 0
1.923	47.26	30.2	3 1 2

Structure:
Cell lengths 10.2451, 4.0651, 6.7376 Å; angles 90.00, 99.88, 90.00 degrees
Space group Cm (No. 8)
One atom of each set of equivalent atoms:
Tb  0.0000  0.0000  0.0000
Tm  0.2673  0.5000  0.3669
Al  0.0814  0.0000  0.5581
Al  0.1864  0.5000  0.8058
Al  0.3826  0.0000  0.6816
Ge  0.2837  0.0000  0.0437
Ge  0.4837  0.0000  0.3261

***

Entry 2:
Simulated X-ray diffraction stick pattern
Compound: Nb5Ga3
Radiation: Cu Ka
Structure: a PBE-relaxed structure

Principal peaks in the range 10 to 90 degrees two-theta, low angle first:
d [Å]	two_theta	intensity	hkl
2.633	34.05	11.7	4 0 0
2.525	35.55	80.0	0 0 2
2.389	37.66	13.7	1 1 2
2.355	38.21	65.4	4 2 0
2.278	39.55	100.0	4 1 1
2.088	43.33	12.1	2 2 2
2.011	45.09	21.1	3 1 2
1.824	50.02	21.0	5 2 1
1.721	53.21	11.8	4 2 2
1.598	57.69	11.5	5 1 2
1.469	63.33	17.7	5 3 2
1.404	66.58	17.9	4 1 3

Structure:
Cell lengths 10.5326, 10.5326, 5.0441 Å; angles 90.00, 90.00, 90.00 degrees
Space group I4/mcm (No. 140)
One atom of each set of equivalent atoms:
Nb  0.0000  0.5000  0.2500
Nb  0.0783  0.2325  0.0000
Ga  0.0000  0.0000  0.0000
Ga  0.1654  0.3346  0.5000

***

Entry 3:
Simulated X-ray diffraction stick pattern
Compound: Gd4TeC2Br
Radiation: Cu Ka
Structure: a PBE-relaxed structure

Principal peaks in the range 10 to 90 degrees two-theta, low angle first:
d [Å]	two_theta	intensity	hkl
3.299	27.02	25.8	1 0 0
3.214	27.75	4.4	1 0 1
2.710	33.06	100.0	1 0 3
2.375	37.89	13.5	0 0 6
1.927	47.16	12.7	1 0 6
1.905	47.75	25.4	1 1 0
1.558	59.30	18.6	2 0 3
1.486	62.51	18.9	1 1 6
1.427	65.38	11.5	1 0 9
1.206	79.46	16.9	2 1 3
1.142	84.90	5.7	2 0 9
1.100	89.01	4.4	3 0 0

Structure:
Cell lengths 3.8098, 3.8098, 14.2477 Å; angles 90.00, 90.00, 120.00 degrees
Space group P-6m2 (No. 187)
One atom of each set of equivalent atoms:
Gd  0.0000  0.0000  0.1553
Gd  0.3333  0.6667  0.3404
Te  0.3333  0.6667  0.0000
C  0.6667  0.3333  0.2567
Br  0.0000  0.0000  0.5000

***

Entry 4:
Simulated X-ray diffraction stick pattern
Compound: TaIn7IrO8
Radiation: Cu Ka
Structure: a PBE-relaxed structure

Principal peaks in the range 10 to 90 degrees two-theta, low angle first:
d [Å]	two_theta	intensity	hkl
5.989	14.79	19.1	1 1 1
3.668	24.27	24.5	2 2 0
3.128	28.54	31.4	3 1 1
2.995	29.84	100.0	2 2 2
2.593	34.59	86.7	4 0 0
2.118	42.70	10.8	4 2 2
1.834	49.72	90.1	4 4 0
1.564	59.07	40.7	6 2 2
1.497	61.98	22.3	4 4 4
1.297	72.96	13.4	8 0 0
1.190	80.76	16.7	6 6 2
1.160	83.32	30.4	8 4 0

Structure:
Cell lengths 10.3736, 10.3736, 10.3736 Å; angles 90.00, 90.00, 90.00 degrees
Space group F-43m (No. 216)
One atom of each set of equivalent atoms:
Ta  0.0000  0.0000  0.0000
In  0.0000  0.0000  0.5000
In  0.0013  0.2500  0.2500
Ir  0.2500  0.2500  0.7500
O  0.1036  0.1036  0.1036
O  0.1280  0.1280  0.3720

***

Entry 5:
Simulated X-ray diffraction stick pattern
Compound: Nd2Ho2CBr5
Radiation: Cu Ka
Structure: a PBE-relaxed structure

Principal peaks in the range 10 to 90 degrees two-theta, low angle first:
d [Å]	two_theta	intensity	hkl
8.737	10.12	31.1	2 0 0
7.935	11.15	38.1	0 0 1
3.114	28.66	23.3	3 1 -1
2.912	30.70	52.9	6 0 0
2.845	31.44	27.4	3 1 1
2.796	32.01	100.0	1 1 -2
2.544	35.27	20.0	4 0 -3
2.381	37.79	18.8	2 0 3
2.023	44.80	29.6	7 1 -2
2.011	45.09	31.9	5 1 2
1.918	47.39	19.5	0 2 0
1.602	57.53	17.4	6 2 0

Structure:
Cell lengths 17.9807, 3.8363, 8.1651 Å; angles 90.00, 103.64, 90.00 degrees
Space group C2/m (No. 12)
One atom of each set of equivalent atoms:
Nd  0.1441  0.0000  0.0763
Ho  0.9996  0.5000  0.2003
C  0.0000  0.0000  0.0000
Br  0.0000  0.0000  0.5000
Br  0.1602  0.5000  0.3568
Br  0.1657  0.5000  0.8100

***

Entry 6:
Simulated X-ray diffraction stick pattern
Compound: RbTbHfTe3
Radiation: Cu Ka
Structure: a PBE-relaxed structure

Principal peaks in the range 10 to 90 degrees two-theta, low angle first:
d [Å]	two_theta	intensity	hkl
8.415	10.51	100.0	0 2 0
3.496	25.48	30.4	0 2 3
3.351	26.60	66.8	1 3 1
2.992	29.86	66.3	1 3 2
2.876	31.10	38.7	0 0 4
2.722	32.90	14.3	0 2 4
2.439	36.86	49.6	1 5 2
2.243	40.21	26.8	2 0 0
2.204	40.95	14.9	1 5 3
1.924	47.25	24.1	1 3 5
1.855	49.12	15.1	1 7 3
1.769	51.68	14.9	2 0 4

Structure:
Cell lengths 4.4854, 16.8298, 11.5082 Å; angles 90.00, 90.00, 90.00 degrees
Space group Cmcm (No. 63)
One atom of each set of equivalent atoms:
Rb  0.0000  0.2488  0.2500
Tb  0.0000  0.5000  0.0000
Hf  0.0000  0.0303  0.7500
Te  0.0000  0.1256  0.5532
Te  0.0000  0.4279  0.7500